# Sm2Co17C2
Theoretical X-ray diffraction stick pattern, Cu Kα (λ = 1.5418 Å). Input: DFT lattice parameters and positions (PBE).
Lines closer than 0.1° are merged.

Cell and atoms:
```
21
Lattice="4.726 -4.265 0.000 4.726 4.265 0.000 -0.926 0.000 6.346" Properties=species:S:1:pos:R:3 pbc="T T T"
Sm 1.077 0.000 2.095
Sm 7.448 0.000 4.250
Co 2.363 2.132 0.000
Co 3.440 2.072 2.167
Co 0.665 0.000 5.491
Co 2.723 1.211 4.551
Co 4.726 2.387 0.000
Co 5.085 2.072 4.179
Co 3.730 0.000 0.600
Co 2.363 -2.132 0.000
Co 2.723 -1.211 4.551
Co 4.263 0.000 3.173
Co 5.802 1.211 1.794
Co 4.795 0.000 5.746
Co 3.440 -2.072 2.167
Co 4.726 -2.387 0.000
Co 5.802 -1.211 1.794
Co 7.860 0.000 0.854
Co 5.085 -2.072 4.179
C 1.900 2.132 3.173
C 1.900 -2.132 3.173
```

Principal peaks in the range 2θ = 10–90°, low angle first:
two_theta	Rel. int.
30.3	19
36.5	51
38.2	30
38.5	18
42.4	100
42.7	24
42.9	44
43.1	63
44.7	57
77.5	21